The following is a simulated X-ray powder pattern of PmHo5Tm4. It was derived from a crystal structure in Alexandria, relaxed with PBE, using Cu Ka.
No peak broadening, texture or thermal motion is included.

Structure:
```
data_PmHo5Tm4
_symmetry_space_group_name_H-M 'I 4'
_symmetry_Int_Tables_number 79
_cell_length_a 10.0906
_cell_length_b 10.0906
_cell_length_c 6.2809
_cell_angle_alpha 90.00
_cell_angle_beta 90.00
_cell_angle_gamma 90.00
loop_
_symmetry_equiv_pos_as_xyz
'x,y,z'
'-y,x,z'
'-x,-y,z'
'y,-x,z'
'x+1/2,y+1/2,z+1/2'
'-y+1/2,x+1/2,z+1/2'
'-x+1/2,-y+1/2,z+1/2'
'y+1/2,-x+1/2,z+1/2'
loop_
_atom_site_label
_atom_site_type_symbol
_atom_site_fract_x
_atom_site_fract_y
_atom_site_fract_z
Pm1 Pm 0.0000 0.0000 0.0000
Ho1 Ho 0.0000 0.0000 0.4552
Ho2 Ho 0.1434 0.7653 0.7266
Tm1 Tm 0.0509 0.6513 0.2292
```

Peak list (12 most intense, 10 to 90 degrees two-theta, in order of falling intensity)
2θ (°), intensity, (hkl)
30.14, 100.0, 3 0 1
27.96, 68.6, 3 1 0
35.10, 63.6, 3 2 1
31.12, 40.8, 1 1 2
40.29, 37.7, 1 3 2
28.42, 34.1, 0 0 2
39.52, 26.0, 1 4 1
33.61, 23.7, 2 0 2
54.77, 23.3, 3 2 3
57.46, 22.8, 6 1 1
37.83, 21.9, 3 3 0
72.76, 18.3, 1 7 2